(1)
Starting from a crystal structure in Alexandria, relaxed with GGA-PBE, the XRD peak list of LiCe2B10 was computed for Cu Ka.
Lines closer than 0.1° are merged.

Cell and atoms:
a = 5.6745 Å, b = 11.2613 Å, c = 4.1331 Å
α = 90.00°, β = 90.00°, γ = 90.00°
Fractional coordinates of all 26 atoms:
Li: 0.0000 0.0000 0.0000
Li: 0.5000 0.5000 0.0000
Ce: 0.1968 0.3617 0.5000
Ce: 0.3032 0.8617 0.5000
Ce: 0.6968 0.1383 0.5000
Ce: 0.8032 0.6383 0.5000
B: 0.0514 0.1913 0.0000
B: 0.1185 0.5427 0.0000
B: 0.1414 0.6985 0.0000
B: 0.2157 0.1174 0.3010
B: 0.2157 0.1174 0.6990
B: 0.2843 0.6174 0.3010
B: 0.2843 0.6174 0.6990
B: 0.3586 0.1985 0.0000
B: 0.3815 0.0427 0.0000
B: 0.4486 0.6913 0.0000
B: 0.5514 0.3087 0.0000
B: 0.6185 0.9573 0.0000
B: 0.6414 0.8015 0.0000
B: 0.7157 0.3826 0.3010
B: 0.7157 0.3826 0.6990
B: 0.7843 0.8826 0.3010
B: 0.7843 0.8826 0.6990
B: 0.8586 0.3015 0.0000
B: 0.8815 0.4573 0.0000
B: 0.9486 0.8087 0.0000

Most intense lines, 2θ from 10° to 90°, most intense first:
Position (°2θ)  intensity  (hkl)
31.13  100  1 2 1
22.24  67  1 2 0
21.50  46  0 0 1
38.70  33  0 4 1
49.66  27  1 2 2
31.78  26  0 4 0
38.49  23  2 0 1
31.53  18  2 0 0
39.34  16  2 1 1
50.74  15  2 4 1

(2)
Starting from a crystal structure in Alexandria, relaxed with GGA-PBE, the XRD peak list of LiCeB12 was computed for Cu Ka.
Lines closer than 0.1° are merged.

Cell and atoms:
a = 4.1331 Å, b = 4.1331 Å, c = 8.2616 Å
α = 90.00°, β = 90.00°, γ = 90.00°
Fractional coordinates of all 14 atoms:
Li: 0.0000 0.0000 0.0000
Ce: 0.0000 0.0000 0.5000
B: 0.2008 0.5000 0.2508
B: 0.2008 0.5000 0.7492
B: 0.5000 0.2008 0.2508
B: 0.5000 0.2008 0.7492
B: 0.5000 0.5000 0.1006
B: 0.5000 0.5000 0.4003
B: 0.5000 0.5000 0.5997
B: 0.5000 0.5000 0.8994
B: 0.5000 0.7992 0.2508
B: 0.5000 0.7992 0.7492
B: 0.7992 0.5000 0.2508
B: 0.7992 0.5000 0.7492

Most intense lines, 2θ from 10° to 90°, most intense first:
Position (°2θ)  intensity  (hkl)
10.71  100  0 0 1
30.60  73  1 1 0
24.08  64  1 0 1
32.50  37  1 1 1
49.31  34  2 1 0
37.70  33  1 1 2
45.24  24  1 1 3
68.07  23  2 2 2
21.50  21  0 0 2
39.31  18  1 0 3

(3)
Starting from a crystal structure in Alexandria, relaxed with GGA-PBE, the XRD peak list of LiCe2BPt6 was computed for Cu Ka.
Lines closer than 0.1° are merged.

Cell and atoms:
a = 5.6171 Å, b = 8.6888 Å, c = 7.4078 Å
α = 90.00°, β = 90.00°, γ = 90.00°
Fractional coordinates of all 20 atoms:
Li: 0.2500 0.2500 0.1881
Li: 0.7500 0.7500 0.8119
Ce: 0.2500 0.5297 0.7839
Ce: 0.2500 0.9703 0.7839
Ce: 0.7500 0.0297 0.2161
Ce: 0.7500 0.4703 0.2161
B: 0.2500 0.7500 0.3013
B: 0.7500 0.2500 0.6987
Pt: 0.0028 0.7500 0.0855
Pt: 0.0077 0.2500 0.4839
Pt: 0.2500 0.5044 0.3668
Pt: 0.2500 0.9956 0.3668
Pt: 0.4923 0.2500 0.4839
Pt: 0.4972 0.7500 0.0855
Pt: 0.5028 0.2500 0.9145
Pt: 0.5077 0.7500 0.5161
Pt: 0.7500 0.0044 0.6332
Pt: 0.7500 0.4956 0.6332
Pt: 0.9923 0.7500 0.5161
Pt: 0.9972 0.2500 0.9145

Most intense lines, 2θ from 10° to 90°, most intense first:
Position (°2θ)  intensity  (hkl)
38.16  100  2 2 0
31.75  57  0 2 2
41.58  38  0 4 0
35.65  34  1 2 2
40.30  33  2 0 2
28.87  26  1 0 2
11.95  26  0 0 1
26.15  19  0 1 2
59.29  18  2 4 2
41.68  17  2 1 2